Starting from the GGA-PBE geometry in Alexandria, the XRD peak list of Sr2P2Pb5 was calculated for Cu Ka.

Principal peaks in the range 2θ = 10–80°, by angle:
2theta  d/Å  I (rel.)
11.32  7.819  47
27.25  3.273  100
30.15  2.964  44
30.38  2.942  67
31.10  2.876  52
31.45  2.845  61
32.68  2.740  56
33.83  2.650  59
35.18  2.551  42
45.82  1.980  30

```
data_Sr2P2Pb5
_chemical_formula_sum 'Sr4 P4 Pb10'
_symmetry_space_group_name_H-M 'P 1'
_symmetry_Int_Tables_number 1
_cell_length_a 8.6788
_cell_length_b 15.6382
_cell_length_c 3.9609
_cell_angle_alpha 90.00
_cell_angle_beta 90.00
_cell_angle_gamma 90.00
loop_
_symmetry_equiv_pos_as_xyz
'x,y,z'
loop_
_atom_site_label
_atom_site_fract_x
_atom_site_fract_y
_atom_site_fract_z
Sr1 0.0502 0.2043 0.0000
Sr2 0.4498 0.7043 0.0000
Sr3 0.5502 0.2957 0.0000
Sr4 0.9498 0.7957 0.0000
P1 0.2146 0.7786 0.5000
P2 0.2854 0.2786 0.5000
P3 0.7146 0.7214 0.5000
P4 0.7854 0.2214 0.5000
Pb1 0.0000 0.0000 0.5000
Pb2 0.1308 0.6041 0.5000
Pb3 0.2023 0.4168 0.0000
Pb4 0.2977 0.9168 0.0000
Pb5 0.3692 0.1041 0.5000
Pb6 0.5000 0.5000 0.5000
Pb7 0.6308 0.8959 0.5000
Pb8 0.7023 0.0832 0.0000
Pb9 0.7977 0.5832 0.0000
Pb10 0.8692 0.3959 0.5000
```

=====

Starting from the GGA-PBE geometry in Alexandria, the XRD peak list of Tl2CdSn was calculated for Cu Ka.

Principal peaks in the range 2θ = 10–80°, by angle:
2theta  d/Å  I (rel.)
31.90  2.806  100
32.04  2.793  37
32.22  2.778  33
32.50  2.755  20
39.36  2.289  11
52.24  1.751  14
57.03  1.615  13
57.58  1.601  11
66.64  1.403  20
67.42  1.389  11

```
data_Tl2CdSn
_chemical_formula_sum 'Tl4 Cd2 Sn2'
_symmetry_space_group_name_H-M 'P 1'
_symmetry_Int_Tables_number 1
_cell_length_a 7.1740
_cell_length_b 7.1740
_cell_length_c 6.4081
_cell_angle_alpha 115.78
_cell_angle_beta 115.78
_cell_angle_gamma 102.28
loop_
_symmetry_equiv_pos_as_xyz
'x,y,z'
loop_
_atom_site_label
_atom_site_fract_x
_atom_site_fract_y
_atom_site_fract_z
Tl1 0.0009 0.9991 0.5000
Tl2 0.0070 0.5040 0.0020
Tl3 0.5040 0.0070 0.5020
Tl4 0.9991 0.0009 0.0000
Cd1 0.4973 0.9984 0.9950
Cd2 0.9984 0.4973 0.4950
Sn1 0.4739 0.5263 0.7517
Sn2 0.5263 0.4739 0.2517
```

=====

Starting from the GGA-PBE geometry in Alexandria, the XRD peak list of Ca3LaU2N6 was calculated for Cu Ka.

Principal peaks in the range 2θ = 10–80°, by angle:
2theta  d/Å  I (rel.)
15.44  5.740  91
29.41  3.037  38
30.63  2.919  33
30.80  2.903  64
31.17  2.870  31
35.77  2.510  100
47.23  1.924  19
51.12  1.787  23
51.83  1.764  22
61.02  1.518  20

```
data_Ca3LaU2N6
_chemical_formula_sum 'Ca3 La1 U2 N6'
_symmetry_space_group_name_H-M 'P 1'
_symmetry_Int_Tables_number 1
_cell_length_a 7.9140
_cell_length_b 7.9140
_cell_length_c 7.0820
_cell_angle_alpha 101.92
_cell_angle_beta 101.92
_cell_angle_gamma 25.97
loop_
_symmetry_equiv_pos_as_xyz
'x,y,z'
loop_
_atom_site_label
_atom_site_fract_x
_atom_site_fract_y
_atom_site_fract_z
Ca1 0.0000 0.0000 0.0000
Ca2 0.3301 0.3301 0.6655
Ca3 0.6699 0.6699 0.3345
La1 0.0000 0.0000 0.5000
U1 0.3328 0.3328 0.1651
U2 0.6672 0.6672 0.8349
N1 0.1688 0.1688 0.6187
N2 0.1794 0.1794 0.0667
N3 0.4772 0.4772 0.2342
N4 0.5228 0.5228 0.7658
N5 0.8206 0.8206 0.9333
N6 0.8312 0.8312 0.3813
```

=====

Starting from the GGA-PBE geometry in Alexandria, the XRD peak list of GaReRu2C was calculated for Cu Ka.

Principal peaks in the range 2θ = 10–80°, by angle:
2theta  d/Å  I (rel.)
21.93  4.052  16
31.20  2.867  10
38.46  2.341  100
44.71  2.027  53
50.32  1.813  7
55.53  1.655  4
65.08  1.433  34
69.55  1.352  3
78.13  1.223  13
78.24  1.222  25

```
data_GaReRu2C
_chemical_formula_sum 'Ga1 Re1 Ru2 C1'
_symmetry_space_group_name_H-M 'P 1'
_symmetry_Int_Tables_number 1
_cell_length_a 4.0519
_cell_length_b 4.0519
_cell_length_c 4.0581
_cell_angle_alpha 90.00
_cell_angle_beta 90.00
_cell_angle_gamma 90.00
loop_
_symmetry_equiv_pos_as_xyz
'x,y,z'
loop_
_atom_site_label
_atom_site_fract_x
_atom_site_fract_y
_atom_site_fract_z
Ga1 0.0000 0.0000 0.0000
Re1 0.5000 0.5000 0.0000
Ru1 0.0000 0.5000 0.5000
Ru2 0.5000 0.0000 0.5000
C1 0.5000 0.5000 0.5000
```

=====

Starting from the GGA-PBE geometry in Alexandria, the XRD peak list of RbPaAg2S4 was calculated for Cu Ka.

Principal peaks in the range 2θ = 10–80°, by angle:
2theta  d/Å  I (rel.)
15.44  5.738  72
23.32  3.815  35
26.37  3.380  24
27.02  3.300  100
33.59  2.668  27
35.48  2.530  50
41.30  2.186  29
43.32  2.089  30
45.36  1.999  23
46.94  1.936  24

```
data_RbPaAg2S4
_chemical_formula_sum 'Rb1 Pa1 Ag2 S4'
_symmetry_space_group_name_H-M 'P 1'
_symmetry_Int_Tables_number 1
_cell_length_a 6.7029
_cell_length_b 6.7029
_cell_length_c 6.7029
_cell_angle_alpha 119.44
_cell_angle_beta 110.62
_cell_angle_gamma 99.00
loop_
_symmetry_equiv_pos_as_xyz
'x,y,z'
loop_
_atom_site_label
_atom_site_fract_x
_atom_site_fract_y
_atom_site_fract_z
Rb1 0.0000 0.0000 0.0000
Pa1 0.5000 0.5000 0.0000
Ag1 0.3312 0.8312 0.5000
Ag2 0.6688 0.1688 0.5000
S1 0.1339 0.1141 0.5960
S2 0.4819 0.8859 0.0199
S3 0.5181 0.5379 0.4040
S4 0.8661 0.4621 0.9801
```

=====

Starting from the GGA-PBE geometry in Alexandria, the XRD peak list of Li4Pu2O9 was calculated for Cu Ka.

Principal peaks in the range 2θ = 10–80°, by angle:
2theta  d/Å  I (rel.)
19.49  4.555  100
31.05  2.880  45
34.09  2.630  20
39.57  2.278  15
41.48  2.177  18
42.09  2.147  19
46.77  1.942  16
53.20  1.722  16
59.13  1.562  16
66.09  1.414  17

```
data_Li4Pu2O9
_chemical_formula_sum 'Li8 Pu4 O18'
_symmetry_space_group_name_H-M 'P 1'
_symmetry_Int_Tables_number 1
_cell_length_a 5.2604
_cell_length_b 5.2604
_cell_length_c 14.8693
_cell_angle_alpha 90.04
_cell_angle_beta 90.04
_cell_angle_gamma 59.99
loop_
_symmetry_equiv_pos_as_xyz
'x,y,z'
loop_
_atom_site_label
_atom_site_fract_x
_atom_site_fract_y
_atom_site_fract_z
Li1 0.1660 0.1676 0.0119
Li2 0.1670 0.1666 0.3108
Li3 0.1666 0.1670 0.8108
Li4 0.1676 0.1660 0.5119
Li5 0.8324 0.8340 0.4881
Li6 0.8334 0.8330 0.1892
Li7 0.8330 0.8334 0.6892
Li8 0.8340 0.8324 0.9881
Pu1 0.4992 0.4999 0.8521
Pu2 0.4999 0.4992 0.3521
Pu3 0.5001 0.5008 0.6479
Pu4 0.5008 0.5001 0.1479
O1 0.1688 0.5243 0.5847
O2 0.1694 0.8081 0.0847
O3 0.1908 0.4761 0.9150
O4 0.1919 0.8306 0.4153
O5 0.2066 0.5002 0.2503
O6 0.2076 0.7924 0.7500
O7 0.4761 0.1908 0.4150
O8 0.4757 0.8312 0.9153
O9 0.5002 0.2066 0.7503
O10 0.4998 0.7934 0.2497
O11 0.5243 0.1688 0.0847
O12 0.5239 0.8092 0.5850
O13 0.7924 0.2076 0.2500
O14 0.7934 0.4998 0.7497
O15 0.8081 0.1694 0.5847
O16 0.8092 0.5239 0.0850
O17 0.8306 0.1919 0.9153
O18 0.8312 0.4757 0.4153
```

=====

Starting from the GGA-PBE geometry in Alexandria, the XRD peak list of Dy2Y8Sc3 was calculated for Cu Ka.

Principal peaks in the range 2θ = 10–80°, by angle:
2theta  d/Å  I (rel.)
16.03  5.528  12
25.30  3.520  34
30.32  2.948  33
31.76  2.817  43
32.39  2.764  43
34.08  2.631  100
41.54  2.174  18
58.86  1.569  21
59.33  1.558  10
65.99  1.416  9

```
data_Dy2Y8Sc3
_chemical_formula_sum 'Dy2 Y8 Sc3'
_symmetry_space_group_name_H-M 'P 1'
_symmetry_Int_Tables_number 1
_cell_length_a 10.5220
_cell_length_b 10.5220
_cell_length_c 5.5280
_cell_angle_alpha 90.03
_cell_angle_beta 90.03
_cell_angle_gamma 42.00
loop_
_symmetry_equiv_pos_as_xyz
'x,y,z'
loop_
_atom_site_label
_atom_site_fract_x
_atom_site_fract_y
_atom_site_fract_z
Dy1 0.2394 0.2394 0.4993
Dy2 0.7605 0.7605 0.5007
Y1 0.1263 0.1263 0.9999
Y2 0.1889 0.6089 0.4997
Y3 0.3332 0.3332 0.9994
Y4 0.3911 0.8111 0.5003
Y5 0.6089 0.1889 0.4997
Y6 0.6668 0.6668 0.0006
Y7 0.8111 0.3911 0.5003
Y8 0.8737 0.8737 0.0001
Sc1 0.0000 0.0000 0.5000
Sc2 0.2917 0.7083 0.0000
Sc3 0.7083 0.2917 0.0000
```

=====

Starting from the GGA-PBE geometry in Alexandria, the XRD peak list of Nd3ZrSb4 was calculated for Cu Ka.

Principal peaks in the range 2θ = 10–80°, by angle:
2theta  d/Å  I (rel.)
28.56  3.126  100
40.77  2.213  37
40.89  2.207  38
50.53  1.806  20
50.73  1.799  7
59.11  1.563  12
66.85  1.399  16
67.03  1.396  17
74.23  1.278  10
74.31  1.276  8

```
data_Nd3ZrSb4
_chemical_formula_sum 'Nd6 Zr2 Sb8'
_symmetry_space_group_name_H-M 'P 1'
_symmetry_Int_Tables_number 1
_cell_length_a 7.6624
_cell_length_b 8.8589
_cell_length_c 7.6382
_cell_angle_alpha 90.00
_cell_angle_beta 109.55
_cell_angle_gamma 90.00
loop_
_symmetry_equiv_pos_as_xyz
'x,y,z'
loop_
_atom_site_label
_atom_site_fract_x
_atom_site_fract_y
_atom_site_fract_z
Nd1 0.0000 0.1245 0.2500
Nd2 0.0000 0.3738 0.7500
Nd3 0.0000 0.6262 0.2500
Nd4 0.0000 0.8755 0.7500
Nd5 0.5000 0.3742 0.2500
Nd6 0.5000 0.6258 0.7500
Zr1 0.5000 0.1257 0.7500
Zr2 0.5000 0.8743 0.2500
Sb1 0.2586 0.3660 0.5087
Sb2 0.2586 0.6340 0.0087
Sb3 0.2673 0.1159 0.0000
Sb4 0.2673 0.8841 0.5000
Sb5 0.7327 0.1159 0.5000
Sb6 0.7327 0.8841 0.0000
Sb7 0.7414 0.3660 0.9913
Sb8 0.7414 0.6340 0.4913
```

=====

Starting from the GGA-PBE geometry in Alexandria, the XRD peak list of Li2B3C3 was calculated for Cu Ka.

Principal peaks in the range 2θ = 10–80°, by angle:
2theta  d/Å  I (rel.)
13.18  6.715  3
24.37  3.652  100
38.30  2.350  9
40.31  2.237  2
45.90  1.977  37
46.01  1.973  7
49.95  1.826  16
69.25  1.357  14
74.57  1.273  6
74.72  1.270  3

```
data_Li2B3C3
_chemical_formula_sum 'Li4 B6 C6'
_symmetry_space_group_name_H-M 'P 1'
_symmetry_Int_Tables_number 1
_cell_length_a 7.1766
_cell_length_b 7.1766
_cell_length_c 8.6980
_cell_angle_alpha 122.22
_cell_angle_beta 122.22
_cell_angle_gamma 21.81
loop_
_symmetry_equiv_pos_as_xyz
'x,y,z'
loop_
_atom_site_label
_atom_site_fract_x
_atom_site_fract_y
_atom_site_fract_z
Li1 0.0000 0.0000 0.0000
Li2 0.5213 0.5213 0.5004
Li3 0.6909 0.6909 0.0068
Li4 0.8324 0.8324 0.5011
B1 0.0398 0.0398 0.7533
B2 0.3183 0.3183 0.2632
B3 0.3705 0.3705 0.7510
B4 0.6442 0.6442 0.2466
B5 0.7077 0.7077 0.7527
B6 0.9778 0.9778 0.2455
C1 0.1506 0.1506 0.7537
C2 0.2021 0.2021 0.2481
C3 0.4828 0.4828 0.7530
C4 0.5316 0.5316 0.2394
C5 0.8164 0.8164 0.7504
C6 0.8753 0.8753 0.2685
```

=====

Starting from the GGA-PBE geometry in Alexandria, the XRD peak list of Ac2Pr2Nd4Dy was calculated for Cu Ka.

Principal peaks in the range 2θ = 10–80°, by angle:
2theta  d/Å  I (rel.)
27.46  3.248  23
29.50  3.028  61
30.29  2.951  86
30.53  2.928  38
31.96  2.800  100
38.19  2.357  21
48.40  1.880  31
51.74  1.767  21
54.92  1.672  20
57.43  1.605  19

```
data_Ac2Pr2Nd4Dy
_chemical_formula_sum 'Ac2 Pr2 Nd4 Dy1'
_symmetry_space_group_name_H-M 'P 1'
_symmetry_Int_Tables_number 1
_cell_length_a 9.9331
_cell_length_b 9.9331
_cell_length_c 10.0826
_cell_angle_alpha 115.22
_cell_angle_beta 115.22
_cell_angle_gamma 21.96
loop_
_symmetry_equiv_pos_as_xyz
'x,y,z'
loop_
_atom_site_label
_atom_site_fract_x
_atom_site_fract_y
_atom_site_fract_z
Ac1 0.1454 0.1454 0.1650
Ac2 0.8546 0.8546 0.8350
Pr1 0.3358 0.3358 0.4965
Pr2 0.6642 0.6642 0.5035
Nd1 0.1839 0.1839 0.8309
Nd2 0.4819 0.4819 0.1813
Nd3 0.5181 0.5181 0.8187
Nd4 0.8161 0.8161 0.1691
Dy1 0.0000 0.0000 0.5000
```

=====

Starting from the GGA-PBE geometry in Alexandria, the XRD peak list of HfCo3H was calculated for Cu Ka.

Principal peaks in the range 2θ = 10–80°, by angle:
2theta  d/Å  I (rel.)
23.15  3.842  10
24.13  3.688  21
33.68  2.661  17
34.39  2.608  9
41.86  2.158  100
47.31  1.921  16
49.42  1.844  31
61.15  1.516  7
70.83  1.330  19
72.49  1.304  10

```
data_HfCo3H
_chemical_formula_sum 'Hf2 Co6 H2'
_symmetry_space_group_name_H-M 'P 1'
_symmetry_Int_Tables_number 1
_cell_length_a 5.3261
_cell_length_b 5.3261
_cell_length_c 5.3261
_cell_angle_alpha 121.39
_cell_angle_beta 121.34
_cell_angle_gamma 87.65
loop_
_symmetry_equiv_pos_as_xyz
'x,y,z'
loop_
_atom_site_label
_atom_site_fract_x
_atom_site_fract_y
_atom_site_fract_z
Hf1 0.0000 0.0000 0.0000
Hf2 0.4663 0.4663 0.0000
Co1 0.4816 0.9816 0.5000
Co2 0.4857 0.4902 0.5095
Co3 0.4857 0.9761 0.9955
Co4 0.9807 0.4902 0.0045
Co5 0.9807 0.9761 0.4905
Co6 0.9847 0.4847 0.5000
H1 0.7323 0.2323 0.5000
H2 0.7332 0.7332 0.0000
```

=====

Starting from the GGA-PBE geometry in Alexandria, the XRD peak list of ErZn3Cu8 was calculated for Cu Ka.

Principal peaks in the range 2θ = 10–80°, by angle:
2theta  d/Å  I (rel.)
30.60  2.921  18
36.26  2.478  41
39.89  2.260  77
42.98  2.104  100
43.69  2.072  81
45.49  1.994  15
67.67  1.385  28
69.86  1.346  22
74.05  1.280  25
76.97  1.239  24

```
data_ErZn3Cu8
_chemical_formula_sum 'Er1 Zn3 Cu8'
_symmetry_space_group_name_H-M 'P 1'
_symmetry_Int_Tables_number 1
_cell_length_a 4.9551
_cell_length_b 4.9551
_cell_length_c 7.9763
_cell_angle_alpha 90.00
_cell_angle_beta 90.00
_cell_angle_gamma 120.00
loop_
_symmetry_equiv_pos_as_xyz
'x,y,z'
loop_
_atom_site_label
_atom_site_fract_x
_atom_site_fract_y
_atom_site_fract_z
Er1 0.0000 0.0000 0.0000
Zn1 0.0000 0.0000 0.3945
Zn2 0.6667 0.3333 0.4938
Zn3 0.6667 0.3333 0.8408
Cu1 0.1647 0.3293 0.6811
Cu2 0.1647 0.8353 0.6811
Cu3 0.3333 0.6667 0.4352
Cu4 0.3333 0.6667 0.9373
Cu5 0.5038 0.0075 0.1947
Cu6 0.5038 0.4962 0.1947
Cu7 0.6707 0.8353 0.6811
Cu8 0.9925 0.4962 0.1947
```

=====

What did the twelfth record say?
Starting from the GGA-PBE geometry in Alexandria, the XRD peak list of ErZn3Cu8 was calculated for Cu Ka.

Principal peaks in the range 2θ = 10–80°, by angle:
2theta  d/Å  I (rel.)
30.60  2.921  18
36.26  2.478  41
39.89  2.260  77
42.98  2.104  100
43.69  2.072  81
45.49  1.994  15
67.67  1.385  28
69.86  1.346  22
74.05  1.280  25
76.97  1.239  24

```
data_ErZn3Cu8
_chemical_formula_sum 'Er1 Zn3 Cu8'
_symmetry_space_group_name_H-M 'P 1'
_symmetry_Int_Tables_number 1
_cell_length_a 4.9551
_cell_length_b 4.9551
_cell_length_c 7.9763
_cell_angle_alpha 90.00
_cell_angle_beta 90.00
_cell_angle_gamma 120.00
loop_
_symmetry_equiv_pos_as_xyz
'x,y,z'
loop_
_atom_site_label
_atom_site_fract_x
_atom_site_fract_y
_atom_site_fract_z
Er1 0.0000 0.0000 0.0000
Zn1 0.0000 0.0000 0.3945
Zn2 0.6667 0.3333 0.4938
Zn3 0.6667 0.3333 0.8408
Cu1 0.1647 0.3293 0.6811
Cu2 0.1647 0.8353 0.6811
Cu3 0.3333 0.6667 0.4352
Cu4 0.3333 0.6667 0.9373
Cu5 0.5038 0.0075 0.1947
Cu6 0.5038 0.4962 0.1947
Cu7 0.6707 0.8353 0.6811
Cu8 0.9925 0.4962 0.1947
```